1.
# Zn2Hg2OF6
Theoretical XRD peak list, Cu Kα. Input: the GGA-PBE geometry in OQMD.
Neutral-atom scattering factors, no anomalous dispersion.

Peak list (12 most intense, 5° ≤ 2θ ≤ 70°, in order of rising 2θ)
- 2θ 14.8, d = 5.976 Å, intensity 215
- 2θ 28.6, d = 3.121 Å, intensity 136
- 2θ 29.9, d = 2.988 Å, intensity 1000
- 2θ 34.7, d = 2.588 Å, intensity 325
- 2θ 37.9, d = 2.375 Å, intensity 169
- 2θ 45.5, d = 1.992 Å, intensity 88
- 2θ 49.8, d = 1.830 Å, intensity 474
- 2θ 52.3, d = 1.750 Å, intensity 72
- 2θ 59.2, d = 1.560 Å, intensity 437
- 2θ 62.1, d = 1.494 Å, intensity 106
- 2θ 64.3, d = 1.449 Å, intensity 36
- 2θ 69.8, d = 1.348 Å, intensity 39

Atomic structure:
Unit cell a=10.3509 b=10.3509 c=10.3509 alpha=90.00 beta=90.00 gamma=90.00
Space group Fd-3m (No. 227, origin choice 2)
Inequivalent atoms, fractional coordinates:
Zn 0.0000 0.0000 0.0000 x16
Hg 0.0000 0.0000 0.5000 x16
O 0.1250 0.1250 0.6250 x8
F 0.0763 0.3750 0.3750 x48


2.
# HgTe2Pb2F2
Theoretical XRD peak list, Cu Kα. Input: the GGA-PBE geometry in OQMD.
Neutral-atom scattering factors, no anomalous dispersion.

Peak list (12 most intense, 5° ≤ 2θ ≤ 70°, in order of rising 2θ)
- 2θ 22.8, d = 3.894 Å, intensity 221
- 2θ 27.7, d = 3.222 Å, intensity 1000
- 2θ 29.9, d = 2.993 Å, intensity 208
- 2θ 31.2, d = 2.865 Å, intensity 221
- 2θ 34.4, d = 2.609 Å, intensity 189
- 2θ 35.0, d = 2.564 Å, intensity 470
- 2θ 42.2, d = 2.143 Å, intensity 241
- 2θ 42.7, d = 2.116 Å, intensity 368
- 2θ 47.6, d = 1.912 Å, intensity 198
- 2θ 51.7, d = 1.769 Å, intensity 367
- 2θ 61.6, d = 1.506 Å, intensity 158
- 2θ 62.0, d = 1.496 Å, intensity 122

Atomic structure:
```
data_HgTe2Pb2F2
_space_group_name_H-M_alt 'P -4 m 2'
_space_group_IT_number 115
_cell_length_a 4.2321
_cell_length_b 4.2321
_cell_length_c 9.9390
_cell_angle_alpha 90.00
_cell_angle_beta 90.00
_cell_angle_gamma 90.00
loop_
_space_group_symop_operation_xyz
'x,y,z'
'y,-x,-z'
'-x,-y,z'
'-y,x,-z'
'-x,y,z'
'-y,-x,-z'
'x,-y,z'
'y,x,-z'
loop_
_atom_site_label
_atom_site_fract_x
_atom_site_fract_y
_atom_site_fract_z
Hg1 0.0000 0.0000 0.0000
Te1 0.0000 0.5000 0.8052
Pb1 0.0000 0.5000 0.3526
F1 0.0000 0.0000 0.5000
F2 0.5000 0.5000 0.5000
```


3.
# Hg2Te2PdF2
Theoretical XRD peak list, Cu Kα. Input: the GGA-PBE geometry in OQMD.
Neutral-atom scattering factors, no anomalous dispersion.

Peak list (12 most intense, 5° ≤ 2θ ≤ 70°, in order of rising 2θ)
- 2θ 24.6, d = 3.623 Å, intensity 113
- 2θ 29.5, d = 3.024 Å, intensity 1000
- 2θ 32.3, d = 2.771 Å, intensity 314
- 2θ 33.7, d = 2.660 Å, intensity 84
- 2θ 36.5, d = 2.465 Å, intensity 70
- 2θ 37.6, d = 2.394 Å, intensity 372
- 2θ 44.6, d = 2.033 Å, intensity 305
- 2θ 46.3, d = 1.959 Å, intensity 293
- 2θ 50.6, d = 1.805 Å, intensity 141
- 2θ 55.9, d = 1.644 Å, intensity 338
- 2θ 66.2, d = 1.411 Å, intensity 188
- 2θ 67.6, d = 1.386 Å, intensity 94

Atomic structure:
```
data_Hg2Te2PdF2
_space_group_name_H-M_alt 'P -4 m 2'
_space_group_IT_number 115
_cell_length_a 3.9189
_cell_length_b 3.9189
_cell_length_c 9.5121
_cell_angle_alpha 90.00
_cell_angle_beta 90.00
_cell_angle_gamma 90.00
loop_
_space_group_symop_operation_xyz
'x,y,z'
'y,-x,-z'
'-x,-y,z'
'-y,x,-z'
'-x,y,z'
'-y,-x,-z'
'x,-y,z'
'y,x,-z'
loop_
_atom_site_label
_atom_site_fract_x
_atom_site_fract_y
_atom_site_fract_z
Hg1 0.0000 0.5000 0.1562
Te1 0.0000 0.5000 0.6853
Pd1 0.0000 0.0000 0.5000
F1 0.0000 0.0000 0.0000
F2 0.5000 0.5000 0.0000
```


4.
# Rb3HgF6
Theoretical XRD peak list, Cu Kα. Input: the GGA-PBE geometry in OQMD.
Neutral-atom scattering factors, no anomalous dispersion.

Peak list (12 most intense, 5° ≤ 2θ ≤ 70°, in order of rising 2θ)
- 2θ 17.0, d = 5.208 Å, intensity 311
- 2θ 20.2, d = 4.397 Å, intensity 111
- 2θ 27.6, d = 3.231 Å, intensity 1000
- 2θ 28.7, d = 3.109 Å, intensity 648
- 2θ 33.6, d = 2.670 Å, intensity 104
- 2θ 37.8, d = 2.382 Å, intensity 230
- 2θ 41.1, d = 2.199 Å, intensity 275
- 2θ 48.1, d = 1.891 Å, intensity 305
- 2θ 50.2, d = 1.818 Å, intensity 520
- 2θ 57.0, d = 1.616 Å, intensity 204
- 2θ 62.1, d = 1.494 Å, intensity 110
- 2θ 67.3, d = 1.391 Å, intensity 133

Atomic structure:
```
data_Rb3HgF6
_space_group_name_H-M_alt 'I 4/m'
_space_group_IT_number 87
_space_group_name_Hall '-I 4'
_cell_length_a 6.2188
_cell_length_b 6.2188
_cell_length_c 9.5279
_cell_angle_alpha 90.00
_cell_angle_beta 90.00
_cell_angle_gamma 90.00
loop_
_atom_site_label
_atom_site_fract_x
_atom_site_fract_y
_atom_site_fract_z
Rb1 0.0000 0.0000 0.0000
Rb2 0.0000 0.5000 0.2500
Hg1 0.0000 0.0000 0.5000
F1 0.0000 0.0000 0.2643
F2 0.1286 0.6804 0.5000
```


5.
# Rb2HgF6
Theoretical XRD peak list, Cu Kα. Input: the GGA-PBE geometry in OQMD.
Neutral-atom scattering factors, no anomalous dispersion.

Peak list (12 most intense, 5° ≤ 2θ ≤ 70°, in order of rising 2θ)
- 2θ 18.6, d = 4.769 Å, intensity 1000
- 2θ 30.6, d = 2.923 Å, intensity 884
- 2θ 30.7, d = 2.916 Å, intensity 439
- 2θ 36.0, d = 2.493 Å, intensity 419
- 2θ 36.1, d = 2.486 Å, intensity 210
- 2θ 43.8, d = 2.068 Å, intensity 351
- 2θ 44.0, d = 2.060 Å, intensity 173
- 2θ 48.0, d = 1.894 Å, intensity 123
- 2θ 54.3, d = 1.688 Å, intensity 272
- 2θ 54.5, d = 1.685 Å, intensity 225
- 2θ 58.0, d = 1.591 Å, intensity 145
- 2θ 63.7, d = 1.461 Å, intensity 161

Atomic structure:
```
data_Rb2HgF6
_space_group_name_H-M_alt 'C 1 2/m 1'
_space_group_IT_number 12
_cell_length_a 10.0881
_cell_length_b 5.8555
_cell_length_c 5.8418
_cell_angle_alpha 90.00
_cell_angle_beta 125.24
_cell_angle_gamma 90.00
loop_
_space_group_symop_operation_xyz
'x,y,z'
'-x,-y,-z'
'-x,y,-z'
'x,-y,z'
'x+1/2,y+1/2,z'
'-x+1/2,-y+1/2,-z'
'-x+1/2,y+1/2,-z'
'x+1/2,-y+1/2,z'
loop_
_atom_site_label
_atom_site_fract_x
_atom_site_fract_y
_atom_site_fract_z
Rb1 0.2495 0.0000 0.2502
Hg1 0.0000 0.5000 0.0000
F1 0.9997 0.2460 0.2545
F2 0.2449 0.0000 0.7454
```


6.
# Rb3HgF6
Theoretical XRD peak list, Cu Kα. Input: the GGA-PBE geometry in OQMD.
Neutral-atom scattering factors, no anomalous dispersion.

Peak list (12 most intense, 5° ≤ 2θ ≤ 70°, in order of rising 2θ)
- 2θ 16.5, d = 5.368 Å, intensity 322
- 2θ 19.2, d = 4.619 Å, intensity 291
- 2θ 26.6, d = 3.346 Å, intensity 463
- 2θ 27.6, d = 3.230 Å, intensity 1000
- 2θ 27.8, d = 3.212 Å, intensity 971
- 2θ 28.0, d = 3.191 Å, intensity 439
- 2θ 39.0, d = 2.309 Å, intensity 499
- 2θ 40.1, d = 2.247 Å, intensity 261
- 2θ 47.6, d = 1.909 Å, intensity 189
- 2θ 48.8, d = 1.866 Å, intensity 230
- 2θ 49.2, d = 1.853 Å, intensity 268
- 2θ 49.4, d = 1.843 Å, intensity 330

Atomic structure:
```
data_Rb3HgF6
_space_group_name_H-M_alt 'P 1 21/c 1'
_space_group_IT_number 14
_cell_length_a 6.3827
_cell_length_b 6.6917
_cell_length_c 10.9849
_cell_angle_alpha 90.00
_cell_angle_beta 125.08
_cell_angle_gamma 90.00
loop_
_space_group_symop_operation_xyz
'x,y,z'
'-x,-y,-z'
'-x,y+1/2,-z+1/2'
'x,-y+1/2,z+1/2'
loop_
_atom_site_label
_atom_site_fract_x
_atom_site_fract_y
_atom_site_fract_z
Rb1 0.0000 0.0000 0.0000
Rb2 0.2299 0.0547 0.7479
Hg1 0.5000 0.0000 0.5000
F1 0.1762 0.1828 0.4531
F2 0.2545 0.7300 0.4310
F3 0.3879 0.0542 0.2750
```


7.
# RbHg4F12
Theoretical XRD peak list, Cu Kα. Input: the GGA-PBE geometry in OQMD.
Neutral-atom scattering factors, no anomalous dispersion.

Peak list (12 most intense, 5° ≤ 2θ ≤ 70°, in order of rising 2θ)
- 2θ 14.6, d = 6.068 Å, intensity 69
- 2θ 20.7, d = 4.291 Å, intensity 1000
- 2θ 25.4, d = 3.503 Å, intensity 24
- 2θ 29.4, d = 3.034 Å, intensity 878
- 2θ 36.3, d = 2.477 Å, intensity 122
- 2θ 39.3, d = 2.294 Å, intensity 22
- 2θ 42.1, d = 2.145 Å, intensity 321
- 2θ 47.4, d = 1.919 Å, intensity 465
- 2θ 52.2, d = 1.752 Å, intensity 380
- 2θ 61.1, d = 1.517 Å, intensity 203
- 2θ 65.2, d = 1.430 Å, intensity 221
- 2θ 69.2, d = 1.357 Å, intensity 168

Atomic structure:
```
data_RbHg4F12
_space_group_name_H-M_alt 'I m -3'
_space_group_IT_number 204
_space_group_name_Hall '-I 2 2 3'
_cell_length_a 8.5817
_cell_length_b 8.5817
_cell_length_c 8.5817
_cell_angle_alpha 90.00
_cell_angle_beta 90.00
_cell_angle_gamma 90.00
loop_
_atom_site_label
_atom_site_fract_x
_atom_site_fract_y
_atom_site_fract_z
Rb1 0.0000 0.0000 0.0000
Hg1 0.2500 0.2500 0.2500
F1 0.0000 0.2421 0.2399
```


8.
# Rb2ZnHgF6
Theoretical XRD peak list, Cu Kα. Input: the GGA-PBE geometry in OQMD.
Neutral-atom scattering factors, no anomalous dispersion.

Peak list (12 most intense, 5° ≤ 2θ ≤ 70°, in order of rising 2θ)
- 2θ 15.6, d = 5.681 Å, intensity 229
- 2θ 23.4, d = 3.798 Å, intensity 1000
- 2θ 29.4, d = 3.042 Å, intensity 377
- 2θ 30.3, d = 2.949 Å, intensity 832
- 2θ 34.3, d = 2.617 Å, intensity 187
- 2θ 38.7, d = 2.329 Å, intensity 264
- 2θ 42.7, d = 2.117 Å, intensity 228
- 2θ 44.3, d = 2.046 Å, intensity 361
- 2θ 49.9, d = 1.828 Å, intensity 279
- 2θ 53.3, d = 1.720 Å, intensity 173
- 2θ 53.8, d = 1.703 Å, intensity 220
- 2θ 57.9, d = 1.593 Å, intensity 284

Atomic structure:
```
data_Rb2ZnHgF6
_space_group_name_H-M_alt 'P -3 1 c'
_space_group_IT_number 163
_space_group_name_Hall '-P 3 2c'
_cell_length_a 5.8978
_cell_length_b 5.8978
_cell_length_c 11.3628
_cell_angle_alpha 90.00
_cell_angle_beta 90.00
_cell_angle_gamma 120.00
loop_
_atom_site_label
_atom_site_fract_x
_atom_site_fract_y
_atom_site_fract_z
Rb1 0.3333 0.6667 0.0625
Zn1 0.3333 0.6667 0.7500
Hg1 0.0000 0.0000 0.2500
F1 0.1076 0.3648 0.8627
```


9.
# ScHg3F6
Theoretical XRD peak list, Cu Kα. Input: the GGA-PBE geometry in OQMD.
Neutral-atom scattering factors, no anomalous dispersion.

Peak list (12 most intense, 5° ≤ 2θ ≤ 70°, in order of rising 2θ)
- 2θ 13.7, d = 6.472 Å, intensity 1000
- 2θ 27.6, d = 3.236 Å, intensity 240
- 2θ 35.0, d = 2.562 Å, intensity 444
- 2θ 37.8, d = 2.382 Å, intensity 717
- 2θ 41.9, d = 2.157 Å, intensity 113
- 2θ 45.1, d = 2.009 Å, intensity 606
- 2θ 55.7, d = 1.650 Å, intensity 187
- 2θ 56.9, d = 1.618 Å, intensity 47
- 2θ 62.8, d = 1.479 Å, intensity 130
- 2θ 64.6, d = 1.442 Å, intensity 126
- 2θ 68.6, d = 1.368 Å, intensity 153
- 2θ 69.9, d = 1.345 Å, intensity 119

Atomic structure:
```
data_ScHg3F6
_space_group_name_H-M_alt 'P -3 1 m'
_space_group_IT_number 162
_space_group_name_Hall '-P 3 2'
_cell_length_a 5.1239
_cell_length_b 5.1239
_cell_length_c 6.4718
_cell_angle_alpha 90.00
_cell_angle_beta 90.00
_cell_angle_gamma 120.00
loop_
_atom_site_label
_atom_site_fract_x
_atom_site_fract_y
_atom_site_fract_z
Sc1 0.0000 0.0000 0.0000
Hg1 0.0000 0.0000 0.5000
Hg2 0.3333 0.6667 0.5000
F1 0.0000 0.3115 0.1942
```


10.
# Sn2HgTe2F2
Theoretical XRD peak list, Cu Kα. Input: the GGA-PBE geometry in OQMD.
Neutral-atom scattering factors, no anomalous dispersion.

Peak list (12 most intense, 5° ≤ 2θ ≤ 70°, in order of rising 2θ)
- 2θ 21.5, d = 4.140 Å, intensity 205
- 2θ 23.3, d = 3.821 Å, intensity 356
- 2θ 28.1, d = 3.179 Å, intensity 1000
- 2θ 31.9, d = 2.808 Å, intensity 204
- 2θ 34.7, d = 2.584 Å, intensity 291
- 2θ 35.6, d = 2.522 Å, intensity 751
- 2θ 42.5, d = 2.128 Å, intensity 312
- 2θ 43.7, d = 2.070 Å, intensity 439
- 2θ 48.1, d = 1.893 Å, intensity 173
- 2θ 52.8, d = 1.735 Å, intensity 355
- 2θ 62.6, d = 1.484 Å, intensity 199
- 2θ 63.6, d = 1.464 Å, intensity 144

Atomic structure:
```
data_Sn2HgTe2F2
_space_group_name_H-M_alt 'P -4 m 2'
_space_group_IT_number 115
_cell_length_a 4.1404
_cell_length_b 4.1404
_cell_length_c 9.9239
_cell_angle_alpha 90.00
_cell_angle_beta 90.00
_cell_angle_gamma 90.00
loop_
_space_group_symop_operation_xyz
'x,y,z'
'y,-x,-z'
'-x,-y,z'
'-y,x,-z'
'-x,y,z'
'-y,-x,-z'
'x,-y,z'
'y,x,-z'
loop_
_atom_site_label
_atom_site_fract_x
_atom_site_fract_y
_atom_site_fract_z
Sn1 0.0000 0.5000 0.1475
Hg1 0.0000 0.0000 0.5000
Te1 0.0000 0.5000 0.6996
F1 0.0000 0.0000 0.0000
F2 0.5000 0.5000 0.0000
```


11.
# Ta4HgF22
Theoretical XRD peak list, Cu Kα. Input: the GGA-PBE geometry in OQMD.
Neutral-atom scattering factors, no anomalous dispersion.

Peak list (12 most intense, 5° ≤ 2θ ≤ 70°, in order of rising 2θ)
- 2θ 11.2, d = 7.883 Å, intensity 418
- 2θ 19.7, d = 4.503 Å, intensity 595
- 2θ 22.6, d = 3.938 Å, intensity 433
- 2θ 23.2, d = 3.828 Å, intensity 637
- 2θ 24.4, d = 3.646 Å, intensity 495
- 2θ 24.7, d = 3.603 Å, intensity 314
- 2θ 25.7, d = 3.463 Å, intensity 1000
- 2θ 26.6, d = 3.348 Å, intensity 452
- 2θ 27.5, d = 3.241 Å, intensity 602
- 2θ 27.8, d = 3.213 Å, intensity 491
- 2θ 28.3, d = 3.154 Å, intensity 450
- 2θ 45.8, d = 1.983 Å, intensity 290

Atomic structure:
```
data_Ta4HgF22
_space_group_name_H-M_alt 'P -1'
_space_group_IT_number 2
_cell_length_a 8.4669
_cell_length_b 9.1143
_cell_length_c 10.5610
_cell_angle_alpha 114.06
_cell_angle_beta 103.94
_cell_angle_gamma 98.74
loop_
_space_group_symop_operation_xyz
'x,y,z'
'-x,-y,-z'
loop_
_atom_site_label
_atom_site_fract_x
_atom_site_fract_y
_atom_site_fract_z
Ta1 0.0193 0.3682 0.1846
Ta2 0.2554 0.9376 0.2999
Ta3 0.2703 0.2044 0.8602
Ta4 0.4107 0.6679 0.7253
Hg1 0.0047 0.2338 0.4951
F1 0.0023 0.1577 0.7941
F2 0.0032 0.5988 0.2754
F3 0.0080 0.1448 0.1300
F4 0.0468 0.4041 0.3850
F5 0.0593 0.6345 0.9971
F6 0.1899 0.9612 0.7387
F7 0.1911 0.1459 0.3774
F8 0.1981 0.9209 0.4634
F9 0.2178 0.1981 0.6695
F10 0.2275 0.6898 0.8287
F11 0.2295 0.1562 0.0076
F12 0.2410 0.9431 0.1235
F13 0.2483 0.4506 0.2259
F14 0.2589 0.6971 0.5760
F15 0.2686 0.4285 0.9403
F16 0.2805 0.4381 0.6138
F17 0.3110 0.7378 0.2607
F18 0.4292 0.3443 0.3680
F19 0.4798 0.0685 0.4038
F20 0.4814 0.8963 0.8574
F21 0.4924 0.2059 0.8735
F22 0.4960 0.3984 0.1305
```


12.
# Zn2HgTe2F2
Theoretical XRD peak list, Cu Kα. Input: the GGA-PBE geometry in OQMD.
Neutral-atom scattering factors, no anomalous dispersion.

Peak list (12 most intense, 5° ≤ 2θ ≤ 70°, in order of rising 2θ)
- 2θ 9.1, d = 9.742 Å, intensity 286
- 2θ 23.8, d = 3.744 Å, intensity 302
- 2θ 25.5, d = 3.495 Å, intensity 766
- 2θ 30.1, d = 2.968 Å, intensity 768
- 2θ 35.1, d = 2.555 Å, intensity 269
- 2θ 36.6, d = 2.453 Å, intensity 684
- 2θ 38.7, d = 2.326 Å, intensity 1000
- 2θ 44.4, d = 2.042 Å, intensity 204
- 2θ 48.6, d = 1.872 Å, intensity 440
- 2θ 53.0, d = 1.728 Å, intensity 205
- 2θ 58.3, d = 1.583 Å, intensity 234
- 2θ 62.4, d = 1.488 Å, intensity 334

Atomic structure:
```
data_Zn2HgTe2F2
_space_group_name_H-M_alt 'P -4 m 2'
_space_group_IT_number 115
_cell_length_a 3.7437
_cell_length_b 3.7437
_cell_length_c 9.7423
_cell_angle_alpha 90.00
_cell_angle_beta 90.00
_cell_angle_gamma 90.00
loop_
_space_group_symop_operation_xyz
'x,y,z'
'y,-x,-z'
'-x,-y,z'
'-y,x,-z'
'-x,y,z'
'-y,-x,-z'
'x,-y,z'
'y,x,-z'
loop_
_atom_site_label
_atom_site_fract_x
_atom_site_fract_y
_atom_site_fract_z
Zn1 0.0000 0.5000 0.1294
Hg1 0.5000 0.5000 0.5000
Te1 0.0000 0.5000 0.7233
F1 0.0000 0.0000 0.0000
F2 0.5000 0.5000 0.0000
```